Diffraction record for Rb2SrInI6. The PXRD pattern is theoretical, not measured: it uses DFT lattice parameters and positions (GGA-PBE) and Cu Ka.

Peak list (8 most intense, 2θ from 5° to 70°, by angle)
hkl	2θ (°)	intensity
0 0 2	13.88	64
2 0 2	24.19	100
0 0 4	27.87	34
2 2 0	28.07	100
2 2 4	39.97	51
4 0 0	40.11	38
4 2 2	47.39	31
4 0 4	49.55	27

Structure:
abc: 8.9921 8.9921 12.8046
angles: 90.00 90.00 90.00
Space group I4mm (No. 107)
Symmetry-distinct sites (fractional):
Rb 0.0000 0.5000 0.0000 x4
Sr 0.0000 0.0000 0.3070 x2
In 0.0000 0.0000 0.8079 x2
I 0.0000 0.0000 0.0565 x2
I 0.0000 0.0000 0.5677 x2
I 0.2452 0.2452 0.8261 x8